Entry 1:
AcHo2TcO8: calculated powder X-ray diffraction pattern (Cu Kα, 1.54184 Å), based on a crystal structure in Alexandria, relaxed with PBE.

Peak list (10 most intense, 2θ from 10° to 80°, in order of rising 2θ)
2theta	I/Imax
24.35	54
25.03	52
30.98	100
35.20	29
47.20	38
47.97	37
56.62	10
58.78	11
60.55	21
64.57	12

Atomic structure:
abc: 5.099 7.003 5.103
angles: 90.00 91.55 90.00
Space group P2/m (No. 10)
Asymmetric unit:
Ac: 0.000 0.000 0.000 (multiplicity 1)
Ho: 0.500 0.249 0.500 (multiplicity 2)
Tc: 0.000 0.500 0.000 (multiplicity 1)
O: 0.188 0.304 0.187 (multiplicity 4)
O: 0.260 0.500 0.738 (multiplicity 2)
O: 0.322 0.000 0.675 (multiplicity 2)

Entry 2:
Ac2HoTiO6: calculated powder X-ray diffraction pattern (Cu Kα, 1.54184 Å), based on a crystal structure in Alexandria, relaxed with PBE.

Peak list (10 most intense, 2θ from 10° to 80°, in order of rising 2θ)
2theta	I/Imax
21.19	14
30.00	29
30.12	67
30.34	100
43.16	28
43.42	17
53.54	32
53.68	13
54.01	15
71.36	14

Atomic structure:
abc: 5.901 5.956 10.161
angles: 90.00 124.88 90.00
Space group P2_1/c (No. 14)
Asymmetric unit:
Ac: 0.237 0.048 0.247 (multiplicity 4)
Ho: 0.500 0.000 0.000 (multiplicity 2)
Ti: 0.000 0.000 0.500 (multiplicity 2)
O: 0.146 0.215 0.949 (multiplicity 4)
O: 0.238 0.696 0.954 (multiplicity 4)
O: 0.329 0.022 0.739 (multiplicity 4)

Entry 3:
Ac2HoZrO6: calculated powder X-ray diffraction pattern (Cu Kα, 1.54184 Å), based on a crystal structure in Alexandria, relaxed with PBE.

Peak list (10 most intense, 2θ from 10° to 80°, in order of rising 2θ)
2theta	I/Imax
29.37	26
29.55	100
29.71	66
42.17	25
42.59	17
48.57	14
52.33	23
52.55	20
52.67	16
70.17	11

Atomic structure:
abc: 6.040 6.082 10.380
angles: 90.00 125.12 90.00
Space group P2_1/c (No. 14)
Asymmetric unit:
Ac: 0.236 0.058 0.246 (multiplicity 4)
Ho: 0.500 0.000 0.000 (multiplicity 2)
Zr: 0.000 0.000 0.500 (multiplicity 2)
O: 0.138 0.203 0.941 (multiplicity 4)
O: 0.249 0.693 0.948 (multiplicity 4)
O: 0.351 0.028 0.745 (multiplicity 4)

Entry 4:
Ac2HoP3Pd12: calculated powder X-ray diffraction pattern (Cu Kα, 1.54184 Å), based on a crystal structure in Alexandria, relaxed with PBE.

Peak list (10 most intense, 2θ from 10° to 80°, in order of rising 2θ)
2theta	I/Imax
15.76	23
24.31	30
25.90	31
31.82	44
33.32	56
35.63	90
38.96	16
39.40	19
41.73	100
56.01	17

Atomic structure:
abc: 8.6584 8.6584 17.0115
angles: 90.00 90.00 120.00
Space group R-3m (No. 166, hexagonal axes)
Asymmetric unit:
Ac: 0.0000 0.0000 0.1064 (multiplicity 6)
Ho: 0.0000 0.0000 0.5000 (multiplicity 3)
P: 0.0000 0.5000 0.0000 (multiplicity 9)
Pd: 0.0193 0.5097 0.8664 (multiplicity 18)
Pd: 0.0548 0.5274 0.3147 (multiplicity 18)

Entry 5:
AcPmHo2P4: calculated powder X-ray diffraction pattern (Cu Kα, 1.54184 Å), based on a crystal structure in Alexandria, relaxed with PBE.

Peak list (10 most intense, 2θ from 10° to 80°, in order of rising 2θ)
2theta	I/Imax
26.34	93
30.51	100
43.69	74
51.73	47
54.22	26
63.50	12
69.97	16
70.01	3
72.06	28
72.12	6

Atomic structure:
abc: 7.174 4.143 7.180
angles: 90.00 109.40 90.00
Space group P2/m (No. 10)
Asymmetric unit:
Ac: 0.000 0.000 0.000 (multiplicity 1)
Pm: 0.000 0.500 0.500 (multiplicity 1)
Ho: 0.500 0.000 0.500 (multiplicity 1)
Ho: 0.500 0.500 0.000 (multiplicity 1)
P: 0.264 0.000 0.748 (multiplicity 2)
P: 0.270 0.500 0.264 (multiplicity 2)

Entry 6:
Ac5Ho2Pb4: calculated powder X-ray diffraction pattern (Cu Kα, 1.54184 Å), based on a crystal structure in Alexandria, relaxed with PBE.

Peak list (10 most intense, 2θ from 10° to 80°, in order of rising 2θ)
2theta	I/Imax
23.14	28
24.00	26
29.02	100
30.13	19
32.46	33
34.01	41
34.78	18
35.24	30
38.15	32
50.94	19

Atomic structure:
abc: 23.722 4.718 8.254
angles: 90.00 110.32 90.00
Space group C2/m (No. 12)
Asymmetric unit:
Ac: 0.000 0.000 0.000 (multiplicity 2)
Ac: 0.160 0.500 0.392 (multiplicity 4)
Ac: 0.160 0.500 0.929 (multiplicity 4)
Ho: 0.073 0.000 0.574 (multiplicity 4)
Pb: 0.000 0.500 0.301 (multiplicity 4)
Pb: 0.212 0.000 0.713 (multiplicity 4)

Entry 7:
Ac5HoPb6: calculated powder X-ray diffraction pattern (Cu Kα, 1.54184 Å), based on a crystal structure in Alexandria, relaxed with PBE.

Peak list (10 most intense, 2θ from 10° to 80°, in order of rising 2θ)
2theta	I/Imax
30.07	100
30.24	99
32.88	79
38.83	26
46.95	15
47.42	14
51.77	45
56.87	34
57.18	33
62.50	13

Atomic structure:
abc: 17.188 9.277 5.445
angles: 90.00 107.92 90.00
Space group C2/m (No. 12)
Asymmetric unit:
Ac: 0.000 0.000 0.000 (multiplicity 2)
Ac: 0.163 0.500 0.664 (multiplicity 4)
Ac: 0.168 0.000 0.668 (multiplicity 4)
Ho: 0.000 0.500 0.000 (multiplicity 2)
Pb: 0.000 0.257 0.500 (multiplicity 4)
Pb: 0.160 0.255 0.160 (multiplicity 8)

Entry 8:
Ac5HoPb6: calculated powder X-ray diffraction pattern (Cu Kα, 1.54184 Å), based on a crystal structure in Alexandria, relaxed with PBE.

Peak list (10 most intense, 2θ from 10° to 80°, in order of rising 2θ)
2theta	I/Imax
26.25	67
27.52	100
32.50	34
35.30	10
36.77	46
39.98	38
42.25	35
54.99	11
59.40	11
63.93	10

Atomic structure:
abc: 8.261 16.532 7.570
angles: 90.00 119.02 90.00
Space group C2/m (No. 12)
Asymmetric unit:
Ac: 0.000 0.000 0.000 (multiplicity 2)
Ac: 0.000 0.151 0.500 (multiplicity 4)
Ac: 0.000 0.316 0.000 (multiplicity 4)
Ho: 0.000 0.500 0.500 (multiplicity 2)
Pb: 0.196 0.500 0.213 (multiplicity 4)
Pb: 0.212 0.338 0.708 (multiplicity 8)

Entry 9:
Ac8PmHo4: calculated powder X-ray diffraction pattern (Cu Kα, 1.54184 Å), based on a crystal structure in Alexandria, relaxed with PBE.

Peak list (10 most intense, 2θ from 10° to 80°, in order of rising 2θ)
2theta	I/Imax
18.48	9
21.37	16
30.40	100
35.81	5
37.46	5
43.52	19
48.98	7
54.01	40
63.24	12
71.77	17

Atomic structure:
abc: 11.7683 11.7683 14.3933
angles: 90.00 90.00 120.00
Space group R-3m (No. 166, hexagonal axes)
Asymmetric unit:
Ac: 0.0000 0.0000 0.2412 (multiplicity 6)
Ac: 0.0113 0.5057 0.7469 (multiplicity 18)
Pm: 0.0000 0.0000 0.5000 (multiplicity 3)
Ho: 0.0000 0.0000 0.0000 (multiplicity 3)
Ho: 0.0000 0.5000 0.0000 (multiplicity 9)

Entry 10:
Ac2Pm8Ho3: calculated powder X-ray diffraction pattern (Cu Kα, 1.54184 Å), based on a crystal structure in Alexandria, relaxed with PBE.

Peak list (10 most intense, 2θ from 10° to 80°, in order of rising 2θ)
2theta	I/Imax
29.74	100
29.80	99
34.47	67
34.58	34
49.48	12
49.63	60
58.87	36
58.98	28
59.04	14
61.77	13

Atomic structure:
abc: 6.379 8.202 9.721
angles: 75.38 70.86 75.13
Space group P-1 (No. 2)
Asymmetric unit:
Ac: 0.231 0.123 0.458 (multiplicity 2)
Pm: 0.077 0.043 0.147 (multiplicity 2)
Pm: 0.158 0.581 0.298 (multiplicity 2)
Pm: 0.306 0.645 0.621 (multiplicity 2)
Pm: 0.384 0.193 0.777 (multiplicity 2)
Ho: 0.000 0.500 0.000 (multiplicity 1)
Ho: 0.460 0.725 0.927 (multiplicity 2)

Entry 11:
AcPm10Ho4: calculated powder X-ray diffraction pattern (Cu Kα, 1.54184 Å), based on a crystal structure in Alexandria, relaxed with PBE.

Peak list (10 most intense, 2θ from 10° to 80°, in order of rising 2θ)
2theta	I/Imax
20.21	34
27.69	69
28.37	46
31.39	100
31.72	27
34.21	83
35.93	32
44.78	44
44.99	26
62.99	27

Atomic structure:
abc: 12.744 12.744 6.900
angles: 90.00 90.00 90.00
Space group I4/m (No. 87)
Asymmetric unit:
Ac: 0.000 0.000 0.000 (multiplicity 2)
Pm: 0.000 0.500 0.250 (multiplicity 4)
Pm: 0.129 0.709 0.248 (multiplicity 16)
Ho: 0.068 0.179 0.500 (multiplicity 8)

Entry 12:
Ac3Pm2Ho6: calculated powder X-ray diffraction pattern (Cu Kα, 1.54184 Å), based on a crystal structure in Alexandria, relaxed with PBE.

Peak list (10 most intense, 2θ from 10° to 80°, in order of rising 2θ)
2theta	I/Imax
29.84	100
30.97	30
34.93	66
49.48	25
50.97	22
58.82	10
59.49	20
59.60	9
60.81	9
62.00	13

Atomic structure:
abc: 6.375 11.062 11.747
angles: 90.00 100.54 90.00
Space group C2/m (No. 12)
Asymmetric unit:
Ac: 0.000 0.000 0.000 (multiplicity 2)
Ac: 0.000 0.335 0.000 (multiplicity 4)
Pm: 0.000 0.166 0.500 (multiplicity 4)
Ho: 0.246 0.334 0.742 (multiplicity 8)
Ho: 0.249 0.000 0.742 (multiplicity 4)